The following is a theoretical powder XRD pattern of LaGd2Sn3Pb4. It was derived from a DFT-relaxed cell (PBE, OQMD), using copper Kα.
Kinematic intensities with the Lorentz-polarization factor, no thermal factor.

Most intense lines, 2θ from 15° to 90°, most intense first:
32.05°, 2.793 Å, rel. 100
34.88°, 2.572 Å, rel. 18
37.94°, 2.371 Å, rel. 17
38.60°, 2.332 Å, rel. 16
64.85°, 1.438 Å, rel. 14
65.76°, 1.420 Å, rel. 13
60.78°, 1.524 Å, rel. 13
55.24°, 1.663 Å, rel. 11

Crystal structure
```
10
Lattice="2.332 -12.861 0.000 2.332 12.861 0.000 0.000 0.000 4.743" Properties=species:S:1:pos:R:3 pbc="T T T"
La 0.000 0.000 0.000
Gd 2.332 8.063 0.000
Gd 2.332 -8.063 0.000
Sn 2.332 2.500 0.000
Sn 2.332 0.000 2.371
Sn 2.332 -2.500 0.000
Pb 2.332 10.348 2.371
Pb 2.332 5.296 2.371
Pb 2.332 -5.296 2.371
Pb 2.332 -10.348 2.371
```